Simulated powder XRD pattern
Compound: LiMnVP3O12
Radiation: copper Kα
Structure: a GGA+U-relaxed structure
Kinematic intensities with the Lorentz-polarization factor, no thermal factor.

Most intense lines, 10° ≤ 2θ ≤ 90°, sorted by position:
(0 1 0), 14.21°, I = 56
(1 0 -1), 14.74°, I = 100
(1 0 1), 19.47°, I = 42
(1 1 -1), 19.87°, I = 47
(0 1 2), 20.25°, I = 50
(1 -1 0), 23.73°, I = 46
(1 2 0), 24.21°, I = 44
(-1 1 2), 24.71°, I = 80
(0 2 0), 28.64°, I = 38
(2 0 -2), 29.72°, I = 73

Structural model:
Cell: 8.259 8.265 8.830 Å, 63.46 89.76 61.11°
Space group P1 (No. 1)
Unique sites:
Li1 0.000 0.000 0.000 [1 per cell]
Li2 0.493 0.776 0.479 [1 per cell]
Mn1 0.588 0.116 0.933 [1 per cell]
Mn2 0.895 0.535 0.798 [1 per cell]
V1 0.083 0.131 0.414 [1 per cell]
V2 0.394 0.507 0.321 [1 per cell]
P1 0.001 0.601 0.120 [1 per cell]
P2 0.205 0.615 0.617 [1 per cell]
P3 0.287 0.020 0.120 [1 per cell]
P4 0.484 0.042 0.614 [1 per cell]
P5 0.711 0.320 0.115 [1 per cell]
P6 0.775 0.330 0.616 [1 per cell]
O1 0.002 0.676 0.632 [1 per cell]
O2 0.119 0.186 0.957 [1 per cell]
O3 0.213 0.823 0.545 [1 per cell]
O4 0.221 0.518 0.182 [1 per cell]
O5 0.235 0.553 0.468 [1 per cell]
O6 0.267 0.073 0.272 [1 per cell]
O7 0.267 0.120 0.550 [1 per cell]
O8 0.281 0.811 0.187 [1 per cell]
O9 0.364 0.438 0.782 [1 per cell]
O10 0.488 0.964 0.102 [1 per cell]
O11 0.517 0.029 0.789 [1 per cell]
O12 0.520 0.212 0.471 [1 per cell]
O13 0.572 0.462 0.187 [1 per cell]
O14 0.576 0.504 0.478 [1 per cell]
O15 0.609 0.830 0.622 [1 per cell]
O16 0.634 0.193 0.098 [1 per cell]
O17 0.733 0.459 0.943 [1 per cell]
O18 0.768 0.178 0.794 [1 per cell]
O19 0.858 0.453 0.632 [1 per cell]
O20 0.885 0.820 0.101 [1 per cell]
O21 0.911 0.148 0.259 [1 per cell]
O22 0.912 0.182 0.547 [1 per cell]
O23 0.969 0.431 0.265 [1 per cell]
O24 0.974 0.609 0.946 [1 per cell]



Simulated powder XRD pattern
Compound: V4O9
Radiation: copper Kα
Structure: a GGA+U-relaxed structure
Kinematic intensities with the Lorentz-polarization factor, no thermal factor.

Most intense lines, 10° ≤ 2θ ≤ 90°, sorted by position:
(3 0 1), 17.32°, I = 77
(4 0 1), 21.64°, I = 29
(0 1 1), 25.80°, I = 78
(5 0 1), 26.23°, I = 100
(2 0 3), 29.73°, I = 36
(1 1 2), 30.94°, I = 31
(4 1 2), 36.50°, I = 33
(7 0 2), 39.51°, I = 19
(8 0 2), 44.10°, I = 21
(0 2 0), 49.20°, I = 45

Structural model:
Cell: 18.196 3.704 9.555 Å, 90.00 90.00 90.00°
Space group Pnma (No. 62)
Unique sites:
V1 0.010 0.250 0.230 [4 per cell]
V2 0.078 0.750 0.464 [4 per cell]
V3 0.168 0.750 0.797 [4 per cell]
V4 0.183 0.250 0.046 [4 per cell]
O1 0.023 0.750 0.278 [4 per cell]
O2 0.045 0.750 0.907 [4 per cell]
O3 0.049 0.250 0.448 [4 per cell]
O4 0.085 0.750 0.656 [4 per cell]
O5 0.104 0.250 0.147 [4 per cell]
O6 0.155 0.250 0.851 [4 per cell]
O7 0.163 0.750 0.417 [4 per cell]
O8 0.202 0.750 0.991 [4 per cell]
O9 0.240 0.750 0.683 [4 per cell]



Simulated powder XRD pattern
Compound: PrFeGe2O7
Radiation: copper Kα
Structure: a GGA+U-relaxed structure
Kinematic intensities with the Lorentz-polarization factor, no thermal factor.

Most intense lines, 10° ≤ 2θ ≤ 90°, sorted by position:
(0 0 2), 15.17°, I = 23
(1 0 -4), 27.06°, I = 45
(2 0 0), 27.25°, I = 100
(1 2 -1), 29.30°, I = 77
(2 0 -4), 30.19°, I = 42
(0 0 4), 30.55°, I = 47
(1 2 1), 32.48°, I = 34
(0 2 3), 35.29°, I = 28
(1 2 -5), 43.86°, I = 28
(3 2 -1), 47.26°, I = 26

Structural model:
Cell: 7.371 6.706 13.183 Å, 90.00 117.37 90.00°
Space group P2_1/c (No. 14)
Unique sites:
Pr1 0.239 0.147 0.476 [4 per cell]
Fe1 0.212 0.101 0.732 [4 per cell]
Ge1 0.216 0.658 0.460 [4 per cell]
Ge2 0.298 0.589 0.721 [4 per cell]
O1 0.011 0.665 0.923 [4 per cell]
O2 0.154 0.688 0.187 [4 per cell]
O3 0.208 0.047 0.875 [4 per cell]
O4 0.219 0.109 0.279 [4 per cell]
O5 0.254 0.502 0.580 [4 per cell]
O6 0.409 0.674 0.983 [4 per cell]
O7 0.435 0.124 0.695 [4 per cell]



Simulated powder XRD pattern
Compound: KGdMo2O8
Radiation: copper Kα
Structure: a GGA+U-relaxed structure
Kinematic intensities with the Lorentz-polarization factor, no thermal factor.

Most intense lines, 10° ≤ 2θ ≤ 90°, sorted by position:
(1 1 -1), 14.12°, I = 59
(3 1 -2), 27.47°, I = 25
(2 2 0), 27.70°, I = 100
(2 2 -2), 28.46°, I = 85
(0 0 2), 30.37°, I = 39
(0 4 0), 34.09°, I = 29
(0 4 2), 46.29°, I = 25
(5 3 -2), 49.76°, I = 16
(2 2 -4), 53.24°, I = 19
(2 6 0), 57.20°, I = 14

Structural model:
Cell: 10.849 10.520 7.839 Å, 90.00 131.32 90.00°
Space group C2/c (No. 15)
Unique sites:
K1 0.000 0.200 0.250 [4 per cell]
Gd1 0.000 0.229 0.750 [4 per cell]
Mo1 0.196 0.499 0.239 [8 per cell]
O1 0.024 0.392 0.972 [8 per cell]
O2 0.127 0.079 0.691 [8 per cell]
O3 0.191 0.423 0.438 [8 per cell]
O4 0.226 0.157 0.127 [8 per cell]



Simulated powder XRD pattern
Compound: LuZnFeO4
Radiation: copper Kα
Structure: a GGA+U-relaxed structure
Kinematic intensities with the Lorentz-polarization factor, no thermal factor.

Most intense lines, 10° ≤ 2θ ≤ 90°, sorted by position:
(0 0 3), 10.28°, I = 74
(0 0 6), 20.64°, I = 36
(1 0 1), 30.30°, I = 100
(0 0 9), 31.17°, I = 57
(1 0 4), 33.21°, I = 100
(0 1 5), 34.85°, I = 82
(1 0 10), 46.61°, I = 46
(1 1 0), 53.45°, I = 56
(0 1 14), 58.95°, I = 34
(1 1 9), 63.18°, I = 44

Structural model:
Cell: 3.4288 3.4288 25.8211 Å, 90.00 90.00 120.00°
Space group R3m (No. 160, hexagonal axes)
Unique sites:
Lu1 0.0000 0.0000 0.0000 [3 per cell]
Zn1 0.0000 0.0000 0.2162 [3 per cell]
Fe1 0.0000 0.0000 0.7836 [3 per cell]
O1 0.0000 0.0000 0.1170 [3 per cell]
O2 0.0000 0.0000 0.2932 [3 per cell]
O3 0.0000 0.0000 0.7068 [3 per cell]
O4 0.0000 0.0000 0.8620 [3 per cell]



Simulated powder XRD pattern
Compound: LiVCrP4O14
Radiation: copper Kα
Structure: a GGA+U-relaxed structure
Kinematic intensities with the Lorentz-polarization factor, no thermal factor.

Most intense lines, 10° ≤ 2θ ≤ 90°, sorted by position:
(0 1 -1), 17.15°, I = 100
(0 1 1), 17.25°, I = 87
(1 0 -1), 21.90°, I = 27
(-1 1 1), 22.57°, I = 38
(1 -1 1), 22.70°, I = 42
(1 1 0), 26.37°, I = 33
(1 1 -1), 28.49°, I = 21
(-1 1 2), 29.57°, I = 47
(1 -1 2), 29.78°, I = 46
(1 -2 1), 30.06°, I = 43

Structural model:
Cell: 4.872 6.986 8.117 Å, 90.17 90.57 107.14°
Space group P1 (No. 1)
Unique sites:
Li1 0.000 0.000 0.000 [1 per cell]
V1 0.622 0.601 0.856 [1 per cell]
Cr1 0.050 0.055 0.365 [1 per cell]
P1 0.071 0.424 0.082 [1 per cell]
P2 0.233 0.851 0.680 [1 per cell]
P3 0.442 0.812 0.184 [1 per cell]
P4 0.619 0.237 0.584 [1 per cell]
O1 0.003 0.814 0.815 [1 per cell]
O2 0.113 0.841 0.507 [1 per cell]
O3 0.233 0.938 0.177 [1 per cell]
O4 0.252 0.581 0.215 [1 per cell]
O5 0.263 0.413 0.934 [1 per cell]
O6 0.421 0.709 0.700 [1 per cell]
O7 0.428 0.241 0.436 [1 per cell]
O8 0.436 0.074 0.719 [1 per cell]
O9 0.584 0.813 0.013 [1 per cell]
O10 0.663 0.862 0.321 [1 per cell]
O11 0.701 0.432 0.687 [1 per cell]
O12 0.816 0.495 0.025 [1 per cell]
O13 0.889 0.181 0.545 [1 per cell]
O14 0.973 0.222 0.168 [1 per cell]



Simulated powder XRD pattern
Compound: Sr5La5CuNi4O20
Radiation: copper Kα
Structure: a GGA+U-relaxed structure
Kinematic intensities with the Lorentz-polarization factor, no thermal factor.

Most intense lines, 10° ≤ 2θ ≤ 90°, sorted by position:
(1 2 1), 24.09°, I = 21
(2 2 1), 31.49°, I = 33
(1 1 -2), 31.50°, I = 100
(1 1 3), 32.72°, I = 49
(0 3 -1), 32.82°, I = 48
(3 2 1), 42.94°, I = 27
(2 3 -1), 43.90°, I = 28
(1 4 2), 47.02°, I = 51
(0 3 4), 57.63°, I = 24
(1 -5 0), 57.77°, I = 24

Structural model:
Cell: 6.853 8.631 8.653 Å, 89.90 67.70 82.69°
Space group P1 (No. 1)
Unique sites:
Sr1 0.000 0.000 0.000 [1 per cell]
Sr2 0.000 0.198 0.596 [1 per cell]
Sr3 0.432 0.655 0.967 [1 per cell]
Sr4 0.999 0.398 0.199 [1 per cell]
Sr5 0.999 0.799 0.397 [1 per cell]
La1 0.438 0.054 0.165 [1 per cell]
La2 0.440 0.257 0.770 [1 per cell]
La3 0.440 0.856 0.570 [1 per cell]
La4 0.443 0.454 0.364 [1 per cell]
La5 0.989 0.600 0.802 [1 per cell]
Cu1 0.725 0.527 0.580 [1 per cell]
Ni1 0.717 0.727 0.183 [1 per cell]
Ni2 0.722 0.126 0.381 [1 per cell]
Ni3 0.724 0.326 0.981 [1 per cell]
Ni4 0.725 0.928 0.781 [1 per cell]
O1 0.033 0.693 0.084 [1 per cell]
O2 0.058 0.092 0.282 [1 per cell]
O3 0.063 0.302 0.878 [1 per cell]
O4 0.063 0.885 0.685 [1 per cell]
O5 0.067 0.494 0.484 [1 per cell]
O6 0.366 0.561 0.683 [1 per cell]
O7 0.391 0.349 0.080 [1 per cell]
O8 0.392 0.970 0.876 [1 per cell]
O9 0.393 0.154 0.475 [1 per cell]
O10 0.397 0.762 0.280 [1 per cell]
O11 0.700 0.631 0.384 [1 per cell]
O12 0.701 0.329 0.487 [1 per cell]
O13 0.706 0.924 0.285 [1 per cell]
O14 0.707 0.224 0.190 [1 per cell]
O15 0.708 0.031 0.581 [1 per cell]
O16 0.712 0.528 0.085 [1 per cell]
O17 0.714 0.128 0.885 [1 per cell]
O18 0.714 0.826 0.988 [1 per cell]
O19 0.717 0.729 0.683 [1 per cell]
O20 0.718 0.428 0.782 [1 per cell]